Entry 1:
For ZnAs2Ir, a DFT-relaxed cell (PBE, OQMD) gives the calculated X-ray diffraction stick pattern in this record (Cu Ka).
Kinematic intensities with the Lorentz-polarization factor, no thermal factor.

Crystal structure
```
data_ZnAs2Ir
_chemical_formula_sum 'Zn4 As8 Ir4'
_cell_length_a 5.6374
_cell_length_b 5.6374
_cell_length_c 11.2339
_cell_angle_alpha 90.00
_cell_angle_beta 90.00
_cell_angle_gamma 90.00
_space_group_name_H-M_alt 'P 1'
_space_group_IT_number 1
_space_group_name_Hall 'P 1'
loop_
_atom_site_label
_atom_site_type_symbol
_atom_site_fract_x
_atom_site_fract_y
_atom_site_fract_z
Zn1 Zn 0.0000 0.0000 0.0000
Zn2 Zn 0.0000 0.5000 0.2500
Zn3 Zn 0.5000 0.0000 0.7500
Zn4 Zn 0.5000 0.5000 0.5000
As1 As 0.2314 0.7500 0.6250
As2 As 0.2500 0.2314 0.3750
As3 As 0.2500 0.2686 0.8750
As4 As 0.2686 0.7500 0.1250
As5 As 0.7314 0.2500 0.1250
As6 As 0.7500 0.7314 0.8750
As7 As 0.7500 0.7686 0.3750
As8 As 0.7686 0.2500 0.6250
Ir1 Ir 0.0000 0.0000 0.5000
Ir2 Ir 0.0000 0.5000 0.7500
Ir3 Ir 0.5000 0.0000 0.2500
Ir4 Ir 0.5000 0.5000 0.0000
```

Largest 12 diffraction maxima, in order of rising 2θ, 2θ = 10–90°:
d_spacing  I/Imax
5.039  259
3.251  1000
2.460  59
2.090  75
1.991  703
1.699  301
1.695  151
1.409  73
1.293  59
1.291  120
1.150  152
1.148  78



Entry 2:
For K2NaMoAs2, a DFT-relaxed cell (PBE, OQMD) gives the calculated X-ray diffraction stick pattern in this record (Cu Ka).
Kinematic intensities with the Lorentz-polarization factor, no thermal factor.

Crystal structure
```
data_K2NaMoAs2
_chemical_formula_sum 'K4 Na2 Mo2 As4'
_cell_length_a 8.9527
_cell_length_b 8.9527
_cell_length_c 8.9527
_cell_angle_alpha 136.09
_cell_angle_beta 61.75
_cell_angle_gamma 138.84
_space_group_name_H-M_alt 'P 1'
_space_group_IT_number 1
_space_group_name_Hall 'P 1'
loop_
_atom_site_label
_atom_site_type_symbol
_atom_site_fract_x
_atom_site_fract_y
_atom_site_fract_z
K1 K 0.1776 0.2340 0.4116
K2 K 0.3224 0.7340 0.0565
K3 K 0.6776 0.2660 0.9435
K4 K 0.8224 0.7660 0.5884
Na1 Na 0.2500 0.2500 0.0000
Na2 Na 0.7500 0.7500 0.0000
Mo1 Mo 0.2500 0.7500 0.5000
Mo2 Mo 0.7500 0.2500 0.5000
As1 As 0.0949 0.6979 0.7928
As2 As 0.4051 0.1979 0.6030
As3 As 0.5949 0.8021 0.3970
As4 As 0.9051 0.3021 0.2072
```

Largest 12 diffraction maxima, in order of rising 2θ, 2θ = 10–90°:
d_spacing  I/Imax
7.684  1000
6.138  919
3.938  258
3.069  224
2.945  803
2.912  162
2.524  431
2.434  472
2.293  635
1.807  306
1.775  167
1.772  183



Entry 3:
For KNaPrAsO5, a DFT-relaxed cell (PBE, OQMD) gives the calculated X-ray diffraction stick pattern in this record (Cu Ka).
Kinematic intensities with the Lorentz-polarization factor, no thermal factor.

Crystal structure
```
data_KNaPrAsO5
_chemical_formula_sum 'K2 Na2 Pr2 As2 O10'
_cell_length_a 5.6475
_cell_length_b 5.6475
_cell_length_c 8.0100
_cell_angle_alpha 90.00
_cell_angle_beta 90.00
_cell_angle_gamma 90.00
_space_group_name_H-M_alt 'P 1'
_space_group_IT_number 1
_space_group_name_Hall 'P 1'
loop_
_atom_site_label
_atom_site_type_symbol
_atom_site_fract_x
_atom_site_fract_y
_atom_site_fract_z
K1 K 0.2500 0.7500 0.0000
K2 K 0.7500 0.2500 0.0000
Na1 Na 0.2500 0.2500 0.2279
Na2 Na 0.7500 0.7500 0.7721
Pr1 Pr 0.2500 0.7500 0.5000
Pr2 Pr 0.7500 0.2500 0.5000
As1 As 0.2500 0.2500 0.7430
As2 As 0.7500 0.7500 0.2570
O1 O 0.0278 0.0278 0.6815
O2 O 0.0278 0.4722 0.6815
O3 O 0.2500 0.2500 0.9568
O4 O 0.4722 0.0278 0.6815
O5 O 0.4722 0.4722 0.6815
O6 O 0.5278 0.5278 0.3185
O7 O 0.5278 0.9722 0.3185
O8 O 0.7500 0.7500 0.0432
O9 O 0.9722 0.5278 0.3185
O10 O 0.9722 0.9722 0.3185
```

Largest 12 diffraction maxima, in order of rising 2θ, 2θ = 10–90°:
d_spacing  I/Imax
8.010  358
4.616  167
3.574  245
2.827  1000
2.308  101
2.003  69
1.997  222
1.939  112
1.743  68
1.632  422
1.414  87
1.263  111



Entry 4:
For K7NbAs4, a DFT-relaxed cell (PBE, OQMD) gives the calculated X-ray diffraction stick pattern in this record (Cu Ka).
Kinematic intensities with the Lorentz-polarization factor, no thermal factor.

Crystal structure
```
data_K7NbAs4
_chemical_formula_sum 'K14 Nb2 As8'
_cell_length_a 10.3018
_cell_length_b 9.2550
_cell_length_c 8.3753
_cell_angle_alpha 90.00
_cell_angle_beta 90.00
_cell_angle_gamma 90.00
_space_group_name_H-M_alt 'P 1'
_space_group_IT_number 1
_space_group_name_Hall 'P 1'
loop_
_atom_site_label
_atom_site_type_symbol
_atom_site_fract_x
_atom_site_fract_y
_atom_site_fract_z
K1 K 0.0000 0.0349 0.0000
K2 K 0.0000 0.3421 0.2115
K3 K 0.0000 0.8994 0.4794
K4 K 0.2112 0.5360 0.4995
K5 K 0.2155 0.1678 0.6641
K6 K 0.2845 0.8322 0.1641
K7 K 0.2888 0.4640 0.9995
K8 K 0.5000 0.1006 0.9794
K9 K 0.5000 0.6579 0.7115
K10 K 0.5000 0.9651 0.5000
K11 K 0.7112 0.4640 0.9995
K12 K 0.7155 0.8322 0.1641
K13 K 0.7845 0.1678 0.6641
K14 K 0.7888 0.5360 0.4995
Nb1 Nb 0.0000 0.6767 0.8724
Nb2 Nb 0.5000 0.3233 0.3724
As1 As 0.0000 0.4130 0.7934
As2 As 0.0000 0.6849 0.1720
As3 As 0.2043 0.8099 0.7770
As4 As 0.2957 0.1901 0.2770
As5 As 0.5000 0.3151 0.6720
As6 As 0.5000 0.5870 0.2934
As7 As 0.7043 0.1901 0.2770
As8 As 0.7957 0.8099 0.7770
```

Largest 12 diffraction maxima, in order of rising 2θ, 2θ = 10–90°:
d_spacing  I/Imax
6.885  615
6.499  683
6.210  361
3.181  769
3.105  404
3.066  1000
3.005  256
2.787  314
2.673  299
2.647  839
2.575  482
1.684  317



Entry 5:
For K3NbAs2O9, a DFT-relaxed cell (PBE, OQMD) gives the calculated X-ray diffraction stick pattern in this record (Cu Ka).
Kinematic intensities with the Lorentz-polarization factor, no thermal factor.

Crystal structure
```
data_K3NbAs2O9
_chemical_formula_sum 'K12 Nb4 As8 O36'
_cell_length_a 22.2394
_cell_length_b 5.4402
_cell_length_c 7.8337
_cell_angle_alpha 90.00
_cell_angle_beta 90.00
_cell_angle_gamma 90.00
_space_group_name_H-M_alt 'P 1'
_space_group_IT_number 1
_space_group_name_Hall 'P 1'
loop_
_atom_site_label
_atom_site_type_symbol
_atom_site_fract_x
_atom_site_fract_y
_atom_site_fract_z
K1 K 0.0347 0.2500 0.1147
K2 K 0.1036 0.7500 0.3422
K3 K 0.2034 0.2500 0.5310
K4 K 0.2966 0.7500 0.0310
K5 K 0.3964 0.2500 0.8422
K6 K 0.4653 0.7500 0.6147
K7 K 0.5347 0.2500 0.3853
K8 K 0.6036 0.7500 0.1578
K9 K 0.7034 0.2500 0.9690
K10 K 0.7966 0.7500 0.4690
K11 K 0.8964 0.2500 0.6579
K12 K 0.9653 0.7500 0.8853
Nb1 Nb 0.1433 0.7500 0.8120
Nb2 Nb 0.3567 0.2500 0.3120
Nb3 Nb 0.6433 0.7500 0.6880
Nb4 Nb 0.8567 0.2500 0.1880
As1 As 0.0558 0.2500 0.6357
As2 As 0.2086 0.2500 0.0486
As3 As 0.2914 0.7500 0.5486
As4 As 0.4442 0.7500 0.1357
As5 As 0.5558 0.2500 0.8643
As6 As 0.7086 0.2500 0.4514
As7 As 0.7914 0.7500 0.9514
As8 As 0.9442 0.7500 0.3643
O1 O 0.0060 0.2500 0.7958
O2 O 0.0325 0.2500 0.4333
O3 O 0.0908 0.7500 0.9822
O4 O 0.1074 0.0047 0.6573
O5 O 0.1074 0.4953 0.6573
O6 O 0.1582 0.2500 0.2089
O7 O 0.2014 0.0032 0.9100
O8 O 0.2014 0.4968 0.9100
O9 O 0.2165 0.7500 0.5988
O10 O 0.2835 0.2500 0.0988
O11 O 0.2986 0.5032 0.4100
O12 O 0.2986 0.9968 0.4100
O13 O 0.3418 0.7500 0.7089
O14 O 0.3926 0.5047 0.1573
O15 O 0.3926 0.9953 0.1573
O16 O 0.4092 0.2500 0.4822
O17 O 0.4675 0.7500 0.9333
O18 O 0.4940 0.7500 0.2958
O19 O 0.5060 0.2500 0.7042
O20 O 0.5325 0.2500 0.0667
O21 O 0.5908 0.7500 0.5178
O22 O 0.6074 0.0047 0.8427
O23 O 0.6074 0.4953 0.8427
O24 O 0.6582 0.2500 0.2911
O25 O 0.7014 0.0032 0.5900
O26 O 0.7014 0.4968 0.5900
O27 O 0.7165 0.7500 0.9012
O28 O 0.7835 0.2500 0.4012
O29 O 0.7986 0.5032 0.0900
O30 O 0.7986 0.9968 0.0900
O31 O 0.8418 0.7500 0.7911
O32 O 0.8926 0.5047 0.3427
O33 O 0.8926 0.9953 0.3427
O34 O 0.9092 0.2500 0.0178
O35 O 0.9675 0.7500 0.5667
O36 O 0.9940 0.7500 0.2042
```

Largest 12 diffraction maxima, in order of rising 2θ, 2θ = 10–90°:
d_spacing  I/Imax
6.404  468
5.384  139
4.146  263
3.827  193
3.202  166
3.147  557
3.062  1000
2.940  211
2.853  164
2.720  423
1.997  181
1.629  144



Entry 6:
For KRbNb2As2O, a DFT-relaxed cell (PBE, OQMD) gives the calculated X-ray diffraction stick pattern in this record (Cu Ka).
Kinematic intensities with the Lorentz-polarization factor, no thermal factor.

Crystal structure
```
data_KRbNb2As2O
_chemical_formula_sum 'K2 Rb2 Nb4 As4 O2'
_cell_length_a 4.2120
_cell_length_b 4.2120
_cell_length_c 18.4794
_cell_angle_alpha 90.00
_cell_angle_beta 90.00
_cell_angle_gamma 90.00
_space_group_name_H-M_alt 'P 1'
_space_group_IT_number 1
_space_group_name_Hall 'P 1'
loop_
_atom_site_label
_atom_site_type_symbol
_atom_site_fract_x
_atom_site_fract_y
_atom_site_fract_z
K1 K 0.0000 0.0000 0.0000
K2 K 0.5000 0.5000 0.5000
Rb1 Rb 0.0000 0.0000 0.6469
Rb2 Rb 0.5000 0.5000 0.1469
Nb1 Nb 0.0000 0.5000 0.3316
Nb2 Nb 0.0000 0.5000 0.8316
Nb3 Nb 0.5000 0.0000 0.3316
Nb4 Nb 0.5000 0.0000 0.8316
As1 As 0.0000 0.0000 0.2344
As2 As 0.0000 0.0000 0.4314
As3 As 0.5000 0.5000 0.7344
As4 As 0.5000 0.5000 0.9314
O1 O 0.0000 0.0000 0.8487
O2 O 0.5000 0.5000 0.3487
```

Largest 12 diffraction maxima, in order of rising 2θ, 2θ = 10–90°:
d_spacing  I/Imax
2.835  563
2.778  910
2.503  1000
2.141  255
2.106  665
2.053  167
1.847  298
1.825  230
1.678  381
1.489  211
1.389  337
1.280  234